1.
The following is a computed powder XRD pattern of Ho3CO2. It was derived from the GGA-PBE geometry in Alexandria, using Cu Kα.

Cell and atoms:
a b c (Å): 5.9771 10.3700 6.0013
angles (deg): 90.00 109.65 90.00
Space group C2/c (No. 15)
Inequivalent atoms, fractional coordinates:
Ho  0.2440  0.0808  0.0012 [8 per cell]
Ho  0.2500  0.2500  0.5000 [4 per cell]
C  0.0000  0.0835  0.2500 [4 per cell]
O  0.0000  0.2475  0.7500 [4 per cell]
O  0.0000  0.4162  0.2500 [4 per cell]

Peak list (6 most intense, 5 to 70 degrees two-theta, by angle)
| index | 2theta | I (rel.) |
| --- | --- | --- |
| 0 0 2 | 31.7 | 100 |
| 2 0 0 | 31.8 | 33 |
| 1 3 1 | 36.8 | 97 |
| 1 3 -3 | 52.9 | 22 |
| 0 6 0 | 53.0 | 33 |
| 1 3 3 | 63.0 | 29 |

2.
The following is a computed powder XRD pattern of Ac2Zn6Sn. It was derived from the GGA-PBE geometry in Alexandria, using Cu Kα.

Cell and atoms:
a b c (Å): 6.1712 6.1712 6.0619
angles (deg): 90.00 90.00 120.00
Space group P-3m1 (No. 164)
Inequivalent atoms, fractional coordinates:
Ac  0.3333  0.6667  0.3385 [2 per cell]
Zn  0.1837  0.3674  0.8553 [6 per cell]
Sn  0.0000  0.0000  0.5000 [1 per cell]

Peak list (6 most intense, 5 to 70 degrees two-theta, by angle)
| index | 2theta | I (rel.) |
| --- | --- | --- |
| 0 1 1 | 22.2 | 37 |
| 1 1 0 | 28.9 | 46 |
| 1 1 1 | 32.6 | 68 |
| 1 0 2 | 34.0 | 93 |
| 0 2 1 | 36.8 | 100 |
| 2 1 2 | 54.6 | 33 |

3.
The following is a computed powder XRD pattern of KMn2Te4. It was derived from the GGA-PBE geometry in Alexandria, using Cu Kα.

Cell and atoms:
a b c (Å): 9.4790 12.1817 14.3637
angles (deg): 90.00 90.00 90.00
Space group F222 (No. 22)
Inequivalent atoms, fractional coordinates:
K  0.0000  0.0000  0.0000 [4 per cell]
K  0.2500  0.2500  0.2500 [4 per cell]
Mn  0.1260  0.1238  0.6249 [16 per cell]
Te  0.0964  0.1363  0.8183 [16 per cell]
Te  0.1527  0.1130  0.4310 [16 per cell]

Peak list (6 most intense, 5 to 70 degrees two-theta, by angle)
| index | 2theta | I (rel.) |
| --- | --- | --- |
| 1 1 1 | 13.3 | 59 |
| 2 2 2 | 26.9 | 83 |
| 0 4 0 | 29.3 | 90 |
| 3 1 1 | 29.9 | 100 |
| 1 3 3 | 30.4 | 61 |
| 1 1 5 | 33.4 | 90 |

4.
The following is a computed powder XRD pattern of AcTb6Sm8. It was derived from the GGA-PBE geometry in Alexandria, using Cu Kα.

Cell and atoms:
a b c (Å): 9.3452 9.3452 20.4174
angles (deg): 90.00 90.00 120.00
Space group R-3 (No. 148, hexagonal axes)
Inequivalent atoms, fractional coordinates:
Ac  0.0000  0.0000  0.0000 [3 per cell]
Tb  0.0390  0.7997  0.6932 [18 per cell]
Sm  0.0000  0.0000  0.4282 [6 per cell]
Sm  0.0638  0.8182  0.1618 [18 per cell]

Peak list (6 most intense, 5 to 70 degrees two-theta, by angle)
| index | 2theta | I (rel.) |
| --- | --- | --- |
| 0 0 6 | 26.2 | 18 |
| 1 2 2 | 30.5 | 100 |
| 2 0 5 | 31.1 | 17 |
| 1 0 7 | 32.6 | 26 |
| 3 -1 4 | 34.2 | 50 |
| 4 1 0 | 51.8 | 25 |

What is the formula in the third record?
KMn2Te4